No. 1
LiPmHg2: computed X-ray powder pattern (CuKα), based on a crystal structure in the Materials Project, relaxed with PBE.

The 8 most intense peaks (10 to 90 degrees two-theta), low angle first:
21.2 deg, I = 15.5, (1 1 1)
24.6 deg, I = 24.3, (2 0 0)
35.0 deg, I = 100.0, (2 2 0)
50.4 deg, I = 18.1, (4 0 0)
56.8 deg, I = 10.5, (4 2 0)
62.8 deg, I = 37.5, (4 2 2)
74.0 deg, I = 11.7, (4 4 0)
84.5 deg, I = 17.0, (6 2 0)

Crystal structure
```
data_LiPmHg2
_space_group_name_H-M_alt 'F m -3 m'
_space_group_IT_number 225
_space_group_name_Hall '-F 4 2 3'
_cell_length_a 7.2491
_cell_length_b 7.2491
_cell_length_c 7.2491
_cell_angle_alpha 90.00
_cell_angle_beta 90.00
_cell_angle_gamma 90.00
loop_
_atom_site_label
_atom_site_fract_x
_atom_site_fract_y
_atom_site_fract_z
Li1 0.0000 0.0000 0.0000
Pm1 0.0000 0.0000 0.5000
Hg1 0.2500 0.2500 0.2500
```

No. 2
SnAsPd6: computed X-ray powder pattern (CuKα), based on a crystal structure in the Materials Project, relaxed with PBE.

The 8 most intense peaks (10 to 90 degrees two-theta), low angle first:
40.0 deg, I = 100.0, (1 1 0)
40.2 deg, I = 92.6, (0 1 8)
58.0 deg, I = 31.2, (2 0 8)
72.6 deg, I = 16.9, (3 0 0)
72.8 deg, I = 31.5, (1 2 8)
73.2 deg, I = 12.8, (1 0 16)
86.3 deg, I = 10.9, (2 2 0)
86.8 deg, I = 8.4, (0 2 16)

Crystal structure
```
data_SnAsPd6
_space_group_name_H-M_alt 'R -3 m'
_space_group_IT_number 166
_space_group_name_Hall '-R 3 2"'
_cell_length_a 4.5093
_cell_length_b 4.5093
_cell_length_c 21.9381
_cell_angle_alpha 90.00
_cell_angle_beta 90.00
_cell_angle_gamma 120.00
loop_
_atom_site_label
_atom_site_fract_x
_atom_site_fract_y
_atom_site_fract_z
Sn1 0.0000 0.0000 0.0000
As1 0.0000 0.0000 0.5000
Pd1 0.0000 0.0000 0.1303
Pd2 0.0000 0.0000 0.2551
Pd3 0.0000 0.0000 0.3815
```